For LiMn2O2, DFT lattice parameters and positions (PBE+U) gives the computed powder XRD pattern in this record (copper Kα).
Neutral-atom scattering factors, no anomalous dispersion.

Principal peaks in the range 2θ = 10–90°, by angle:
- 8.021 Å, 11.0°, I 96, hkl 0 0 1
- 4.010 Å, 22.2°, I 52, hkl 0 0 2
- 2.790 Å, 32.1°, I 43, hkl 1 0 0
- 2.635 Å, 34.0°, I 100, hkl 0 1 1
- 2.290 Å, 39.3°, I 74, hkl 1 0 2
- 1.628 Å, 56.5°, I 49, hkl 0 1 4

```
data_LiMn2O2
_cell_length_a 3.2215
_cell_length_b 3.2215
_cell_length_c 8.0210
_cell_angle_alpha 90.00
_cell_angle_beta 90.00
_cell_angle_gamma 120.00
_space_group_name_H-M_alt 'P 3 m 1'
_space_group_IT_number 156
_space_group_name_Hall 'P 3 -2"'
loop_
_atom_site_label
_atom_site_type_symbol
_atom_site_fract_x
_atom_site_fract_y
_atom_site_fract_z
_atom_site_occupancy
Li1 Li 0.0000 0.0000 0.0000 1
Mn1 Mn 0.3333 0.6667 0.3589 1
Mn2 Mn 0.6667 0.3333 0.7325 1
O1 O 0.3333 0.6667 0.8631 1
O2 O 0.6667 0.3333 0.4813 1
```